Starting from a cell relaxed with PBE, the XRD peak list of Y2TmSc2 was calculated for a wavelength of 1.5418 Å.

Principal peaks in the range 2θ from 5° to 70°, in order of rising 2θ:
- (1 1 0), 2θ = 13.46°, d = 6.579 Å, I = 26
- (1 1 -1), 2θ = 18.48°, d = 4.800 Å, I = 14
- (1 1 -2), 2θ = 29.34°, d = 3.044 Å, I = 12
- (1 1 2), 2θ = 30.33°, d = 2.947 Å, I = 63
- (3 1 0), 2θ = 30.51°, d = 2.930 Å, I = 58
- (2 2 1), 2θ = 30.74°, d = 2.909 Å, I = 61
- (2 0 -2), 2θ = 32.00°, d = 2.797 Å, I = 41
- (1 3 -1), 2θ = 32.87°, d = 2.724 Å, I = 100
- (0 2 3), 2θ = 44.84°, d = 2.021 Å, I = 12
- (4 2 -1), 2θ = 45.10°, d = 2.010 Å, I = 26
- (2 4 1), 2θ = 45.85°, d = 1.979 Å, I = 14
- (3 3 -3), 2θ = 57.57°, d = 1.601 Å, I = 13

Structural model:
```
data_Y2TmSc2
_space_group_name_H-M_alt 'C 1 c 1'
_space_group_IT_number 9
_cell_length_a 9.270
_cell_length_b 9.354
_cell_length_c 6.735
_cell_angle_alpha 90.00
_cell_angle_beta 93.26
_cell_angle_gamma 90.00
loop_
_space_group_symop_operation_xyz
'x,y,z'
'x,-y,z+1/2'
'x+1/2,y+1/2,z'
'x+1/2,-y+1/2,z+1/2'
loop_
_atom_site_label
_atom_site_fract_x
_atom_site_fract_y
_atom_site_fract_z
Y1 0.000 0.063 0.000
Y2 0.333 0.116 0.307
Tm1 0.182 0.429 0.084
Sc1 0.173 0.238 0.687
Sc2 0.462 0.213 0.867
```



Starting from a cell relaxed with PBE, the XRD peak list of Y3Tm8Sc2 was calculated for a wavelength of 1.5418 Å.

Principal peaks in the range 2θ from 5° to 70°, in order of rising 2θ:
- (2 2 -1), 2θ = 25.28°, d = 3.523 Å, I = 91
- (2 2 1), 2θ = 29.83°, d = 2.995 Å, I = 65
- (4 0 -2), 2θ = 31.73°, d = 2.820 Å, I = 86
- (1 3 -1), 2θ = 32.77°, d = 2.733 Å, I = 77
- (1 1 2), 2θ = 32.93°, d = 2.720 Å, I = 100
- (2 2 -2), 2θ = 33.75°, d = 2.656 Å, I = 36
- (5 1 0), 2θ = 34.23°, d = 2.619 Å, I = 79
- (3 3 0), 2θ = 35.77°, d = 2.510 Å, I = 39
- (3 3 -1), 2θ = 36.05°, d = 2.491 Å, I = 33
- (3 3 1), 2θ = 41.11°, d = 2.196 Å, I = 33
- (7 3 -2), 2θ = 55.63°, d = 1.652 Å, I = 26
- (1 5 2), 2θ = 60.76°, d = 1.524 Å, I = 27

Structural model:
```
data_Y3Tm8Sc2
_space_group_name_H-M_alt 'C 1 2/m 1'
_space_group_IT_number 12
_cell_length_a 14.502
_cell_length_b 9.017
_cell_length_c 6.633
_cell_angle_alpha 90.00
_cell_angle_beta 109.30
_cell_angle_gamma 90.00
loop_
_space_group_symop_operation_xyz
'x,y,z'
'-x,-y,-z'
'-x,y,-z'
'x,-y,z'
'x+1/2,y+1/2,z'
'-x+1/2,-y+1/2,-z'
'-x+1/2,y+1/2,-z'
'x+1/2,-y+1/2,z'
loop_
_atom_site_label
_atom_site_fract_x
_atom_site_fract_y
_atom_site_fract_z
Y1 0.000 0.000 0.000
Y2 0.000 0.173 0.500
Tm1 0.088 0.500 0.726
Tm2 0.120 0.319 0.189
Tm3 0.192 0.000 0.896
Sc1 0.208 0.000 0.423
```



Starting from a cell relaxed with PBE, the XRD peak list of Y3Tm2Sc8 was calculated for a wavelength of 1.5418 Å.

Principal peaks in the range 2θ from 5° to 70°, in order of rising 2θ:
- (0 0 1), 2θ = 14.08°, d = 6.289 Å, I = 27
- (0 2 0), 2θ = 20.49°, d = 4.335 Å, I = 39
- (2 2 0), 2θ = 24.81°, d = 3.589 Å, I = 46
- (4 0 -1), 2θ = 26.72°, d = 3.336 Å, I = 39
- (2 2 1), 2θ = 30.92°, d = 2.892 Å, I = 100
- (4 0 -2), 2θ = 32.62°, d = 2.745 Å, I = 43
- (1 1 2), 2θ = 33.17°, d = 2.701 Å, I = 74
- (1 3 -1), 2θ = 33.89°, d = 2.645 Å, I = 48
- (2 2 -2), 2θ = 34.24°, d = 2.619 Å, I = 38
- (5 1 0), 2θ = 36.59°, d = 2.456 Å, I = 27
- (3 3 0), 2θ = 37.61°, d = 2.391 Å, I = 24
- (1 5 2), 2θ = 62.78°, d = 1.480 Å, I = 24

Structural model:
```
data_Y3Tm2Sc8
_space_group_name_H-M_alt 'C 1 2/m 1'
_space_group_IT_number 12
_cell_length_a 13.577
_cell_length_b 8.667
_cell_length_c 6.668
_cell_angle_alpha 90.00
_cell_angle_beta 109.41
_cell_angle_gamma 90.00
loop_
_space_group_symop_operation_xyz
'x,y,z'
'-x,-y,-z'
'-x,y,-z'
'x,-y,z'
'x+1/2,y+1/2,z'
'-x+1/2,-y+1/2,-z'
'-x+1/2,y+1/2,-z'
'x+1/2,-y+1/2,z'
loop_
_atom_site_label
_atom_site_fract_x
_atom_site_fract_y
_atom_site_fract_z
Y1 0.000 0.000 0.000
Y2 0.000 0.183 0.500
Tm1 0.237 0.000 0.425
Sc1 0.066 0.500 0.749
Sc2 0.123 0.314 0.158
Sc3 0.195 0.000 0.895
```



Starting from a cell relaxed with PBE, the XRD peak list of Y4Tm3Sc2 was calculated for a wavelength of 1.5418 Å.

Principal peaks in the range 2θ from 5° to 70°, in order of rising 2θ:
- (1 1 1), 2θ = 18.67°, d = 4.753 Å, I = 20
- (2 2 -1), 2θ = 23.54°, d = 3.780 Å, I = 20
- (3 3 0), 2θ = 28.65°, d = 3.116 Å, I = 15
- (5 1 -1), 2θ = 30.94°, d = 2.890 Å, I = 60
- (0 4 0), 2θ = 31.15°, d = 2.871 Å, I = 49
- (1 1 -2), 2θ = 31.71°, d = 2.822 Å, I = 57
- (4 2 1), 2θ = 32.73°, d = 2.736 Å, I = 100
- (5 3 -1), 2θ = 38.22°, d = 2.355 Å, I = 29
- (1 3 -2), 2θ = 38.86°, d = 2.317 Å, I = 30
- (3 1 3), 2θ = 53.23°, d = 1.721 Å, I = 15
- (4 6 1), 2θ = 56.43°, d = 1.631 Å, I = 14
- (6 2 -3), 2θ = 57.35°, d = 1.607 Å, I = 19

Structural model:
```
data_Y4Tm3Sc2
_space_group_name_H-M_alt 'C 1 2/c 1'
_space_group_IT_number 15
_cell_length_a 16.239
_cell_length_b 11.484
_cell_length_c 5.829
_cell_angle_alpha 90.00
_cell_angle_beta 97.67
_cell_angle_gamma 90.00
loop_
_space_group_symop_operation_xyz
'x,y,z'
'-x,-y,-z'
'-x,y,-z+1/2'
'x,-y,z+1/2'
'x+1/2,y+1/2,z'
'-x+1/2,-y+1/2,-z'
'-x+1/2,y+1/2,-z+1/2'
'x+1/2,-y+1/2,z+1/2'
loop_
_atom_site_label
_atom_site_fract_x
_atom_site_fract_y
_atom_site_fract_z
Y1 0.063 0.115 0.032
Y2 0.216 0.398 0.879
Tm1 0.000 0.388 0.750
Tm2 0.174 0.148 0.581
Sc1 0.102 0.366 0.304
```